This entry pairs a crystal structure of Y5ErTm4 with its simulated powder diffraction line list. Radiation: CuKα. Structure: a DFT-relaxed cell (PBE, Alexandria).
Peak positions follow from Bragg's law for the DFT cell and can differ from measured ones.

Atomic structure:
abc: 6.2429 6.6622 9.1319
angles: 72.41 89.98 62.08
Fractional positions:
1 Y 0.0000 0.0000 0.0000
2 Y 0.0692 0.2004 0.3009
3 Y 0.2721 0.7979 0.7017
4 Y 0.6018 0.7991 0.2005
5 Y 0.6720 0.0007 0.5020
6 Er 0.2050 0.5978 0.4015
7 Tm 0.4020 0.2002 0.8012
8 Tm 0.4672 0.4000 0.0997
9 Tm 0.8047 0.4007 0.6022
10 Tm 0.8693 0.5991 0.9006

Top 6 peaks for 2θ = 10–90°, low angle first:
d [Å]	I/Imax
3.122	24
2.802	24
2.727	100
1.803	20
1.603	20
1.516	22


This entry pairs a crystal structure of Y3Er3Tm with its simulated powder diffraction line list. Radiation: CuKα. Structure: a DFT-relaxed cell (PBE, Alexandria).
Peak positions follow from Bragg's law for the DFT cell and can differ from measured ones.

Atomic structure:
abc: 9.5430 9.5430 5.6077
angles: 90.00 90.00 120.00
Fractional positions:
1 Y 0.0488 0.8080 0.2500
2 Y 0.1920 0.2407 0.2500
3 Y 0.2407 0.0488 0.7500
4 Y 0.7593 0.9512 0.2500
5 Y 0.8080 0.7593 0.7500
6 Y 0.9512 0.1920 0.7500
7 Er 0.0959 0.6174 0.7500
8 Er 0.3826 0.4785 0.7500
9 Er 0.4785 0.0959 0.2500
10 Er 0.5215 0.9041 0.7500
11 Er 0.6174 0.5215 0.2500
12 Er 0.9041 0.3826 0.2500
13 Tm 0.3333 0.6667 0.2500
14 Tm 0.6667 0.3333 0.7500

Top 6 peaks for 2θ = 10–90°, low angle first:
d [Å]	I/Imax
3.124	24
2.804	24
2.729	100
1.803	19
1.604	20
1.517	22


This entry pairs a crystal structure of Y5ErTm4 with its simulated powder diffraction line list. Radiation: CuKα. Structure: a DFT-relaxed cell (PBE, Alexandria).
Peak positions follow from Bragg's law for the DFT cell and can differ from measured ones.

Atomic structure:
abc: 5.4061 7.0036 8.7158
angles: 89.95 72.03 89.97
Fractional positions:
1 Y 0.0000 0.0000 0.0000
2 Y 0.1895 0.2507 0.6198
3 Y 0.3886 0.7468 0.2217
4 Y 0.5901 0.7473 0.8195
5 Y 0.7789 0.9989 0.4406
6 Er 0.3902 0.2501 0.2190
7 Tm 0.9999 0.4974 0.0004
8 Tm 0.1896 0.7472 0.6193
9 Tm 0.5887 0.2508 0.8226
10 Tm 0.7790 0.4994 0.4402

Top 6 peaks for 2θ = 10–90°, low angle first:
d [Å]	I/Imax
2.894	89
2.827	100
2.703	46
2.675	43
1.901	31
1.489	26


This entry pairs a crystal structure of Y12Er2Tm5 with its simulated powder diffraction line list. Radiation: CuKα. Structure: a DFT-relaxed cell (PBE, Alexandria).
Peak positions follow from Bragg's law for the DFT cell and can differ from measured ones.

Atomic structure:
abc: 6.2473 8.7903 12.0378
angles: 69.68 80.09 78.77
Fractional positions:
1 Y 0.0414 0.0730 0.3280
2 Y 0.1923 0.2613 0.6648
3 Y 0.2330 0.3983 0.3587
4 Y 0.2589 0.5355 0.7898
5 Y 0.3330 0.7945 0.1723
6 Y 0.4127 0.8733 0.8413
7 Y 0.5873 0.1267 0.1587
8 Y 0.6670 0.2055 0.8277
9 Y 0.7411 0.4645 0.2102
10 Y 0.7670 0.6017 0.6413
11 Y 0.8077 0.7387 0.3352
12 Y 0.9586 0.9270 0.6720
13 Er 0.2449 0.4956 0.0661
14 Er 0.7551 0.5044 0.9339
15 Tm 0.1300 0.1633 0.9924
16 Tm 0.2883 0.6733 0.4894
17 Tm 0.5000 0.0000 0.5000
18 Tm 0.7117 0.3267 0.5106
19 Tm 0.8700 0.8367 0.0076

Top 6 peaks for 2θ = 10–90°, low angle first:
d [Å]	I/Imax
3.039	89
2.864	100
2.765	75
2.756	68
2.748	74
2.724	72


This entry pairs a crystal structure of Y2Er9Tm3 with its simulated powder diffraction line list. Radiation: CuKα. Structure: a DFT-relaxed cell (PBE, Alexandria).
Peak positions follow from Bragg's law for the DFT cell and can differ from measured ones.

Atomic structure:
abc: 10.2136 10.2136 10.2136
angles: 150.16 120.32 68.15
Fractional positions:
1 Y 0.2412 0.0000 0.2412
2 Y 0.7588 0.0000 0.7588
3 Er 0.1074 0.3778 0.7295
4 Er 0.1485 0.8017 0.3468
5 Er 0.3517 0.6222 0.7295
6 Er 0.4550 0.8017 0.6532
7 Er 0.5000 0.5000 0.0000
8 Er 0.5450 0.1983 0.3468
9 Er 0.6483 0.3778 0.2705
10 Er 0.8515 0.1983 0.6532
11 Er 0.8926 0.6222 0.2705
12 Tm 0.0000 0.5000 0.5000
13 Tm 0.1717 0.1717 0.0000
14 Tm 0.8283 0.8283 0.0000

Top 6 peaks for 2θ = 10–90°, low angle first:
d [Å]	I/Imax
3.067	98
2.847	100
2.700	31
2.630	65
2.483	49
1.550	30


This entry pairs a crystal structure of Y4ErTm with its simulated powder diffraction line list. Radiation: CuKα. Structure: a DFT-relaxed cell (PBE, Alexandria).
Peak positions follow from Bragg's law for the DFT cell and can differ from measured ones.

Atomic structure:
abc: 8.7916 8.7916 6.2108
angles: 96.75 96.75 23.51
Fractional positions:
1 Y 0.1663 0.1663 0.3887
2 Y 0.3337 0.3337 0.1114
3 Y 0.6663 0.6663 0.8886
4 Y 0.8337 0.8337 0.6113
5 Er 0.0000 0.0000 0.0000
6 Tm 0.5000 0.5000 0.5000

Top 6 peaks for 2θ = 10–90°, low angle first:
d [Å]	I/Imax
3.081	54
2.848	45
2.793	100
2.655	86
1.792	35
1.517	40


This entry pairs a crystal structure of Y2Er3Tm3 with its simulated powder diffraction line list. Radiation: CuKα. Structure: a DFT-relaxed cell (PBE, Alexandria).
Peak positions follow from Bragg's law for the DFT cell and can differ from measured ones.

Atomic structure:
abc: 6.3817 6.3817 6.3817
angles: 90.02 90.02 90.02
Fractional positions:
1 Y 0.2503 0.2503 0.2503
2 Y 0.7497 0.7497 0.7497
3 Er 0.0000 0.7497 0.2503
4 Er 0.2503 0.0000 0.7497
5 Er 0.7497 0.2503 0.0000
6 Tm 0.2502 0.5000 0.7498
7 Tm 0.5000 0.7498 0.2502
8 Tm 0.7498 0.2502 0.5000

Top 6 peaks for 2θ = 10–90°, low angle first:
d [Å]	I/Imax
2.854	100
2.605	47
1.770	25
1.706	26
1.393	23
1.185	20


This entry pairs a crystal structure of Y3Er2Tm9 with its simulated powder diffraction line list. Radiation: CuKα. Structure: a DFT-relaxed cell (PBE, Alexandria).
Peak positions follow from Bragg's law for the DFT cell and can differ from measured ones.

Atomic structure:
abc: 6.1722 8.5518 8.6615
angles: 80.19 77.13 87.94
Fractional positions:
1 Y 0.0000 0.0000 0.0000
2 Y 0.2453 0.3759 0.2711
3 Y 0.7547 0.6241 0.7289
4 Er 0.4478 0.9667 0.6986
5 Er 0.5522 0.0333 0.3014
6 Tm 0.0000 0.0000 0.5000
7 Tm 0.0924 0.3120 0.6970
8 Tm 0.1983 0.6118 0.8987
9 Tm 0.3436 0.6675 0.4952
10 Tm 0.4956 0.2434 0.9139
11 Tm 0.5044 0.7566 0.0861
12 Tm 0.6564 0.3325 0.5048
13 Tm 0.8017 0.3882 0.1013
14 Tm 0.9076 0.6880 0.3030

Top 6 peaks for 2θ = 10–90°, low angle first:
d [Å]	I/Imax
2.835	24
2.812	100
2.763	44
2.672	27
2.645	24
2.544	34